Calculated powder X-ray diffraction pattern of In2Ni21P6 for Cu Ka, from the PBE geometry in the Materials Project.
Kinematic intensities with the Lorentz-polarization factor, no thermal factor.

Cell and atoms:
```
In2Ni21P6
1.0
0.000 5.546 5.546
5.546 0.000 5.546
5.546 5.546 0.000
In Ni P
2 21 6
direct
0.250 0.250 0.250 In
0.750 0.750 0.750 In
0.000 0.000 0.000 Ni
0.000 0.000 0.348 Ni
0.000 0.000 0.652 Ni
0.000 0.348 0.000 Ni
0.000 0.348 0.652 Ni
0.000 0.652 0.000 Ni
0.000 0.652 0.348 Ni
0.153 0.616 0.616 Ni
0.348 0.000 0.000 Ni
0.348 0.000 0.652 Ni
0.348 0.652 0.000 Ni
0.384 0.384 0.384 Ni
0.384 0.384 0.847 Ni
0.384 0.847 0.384 Ni
0.616 0.153 0.616 Ni
0.616 0.616 0.153 Ni
0.616 0.616 0.616 Ni
0.652 0.000 0.000 Ni
0.652 0.000 0.348 Ni
0.652 0.348 0.000 Ni
0.847 0.384 0.384 Ni
0.262 0.262 0.738 P
0.262 0.738 0.262 P
0.262 0.738 0.738 P
0.738 0.262 0.262 P
0.738 0.262 0.738 P
0.738 0.738 0.262 P
```

Most intense lines, 15 to 90 degrees two-theta, by angle:
36.22°, d = 2.480 Å, intensity 34.9; 39.81°, d = 2.264 Å, intensity 36.5; 42.34°, d = 2.135 Å, intensity 100.0; 46.30°, d = 1.961 Å, intensity 44.8; 48.56°, d = 1.875 Å, intensity 29.3; 54.90°, d = 1.672 Å, intensity 23.3; 69.93°, d = 1.345 Å, intensity 9.6; 72.27°, d = 1.307 Å, intensity 27.9; 74.01°, d = 1.281 Å, intensity 11.7; 85.84°, d = 1.132 Å, intensity 23.3